# 1
For BaCrN2, a crystal structure in Alexandria, relaxed with PBE gives the theoretical powder X-ray diffraction pattern in this record (Cu Ka).
Intensities are scaled so that the largest is 100.

Cell and atoms:
Unit cell a=6.4680 b=6.4680 c=7.8302 alpha=90.00 beta=90.00 gamma=125.89
Fractional coordinates of all 16 atoms:
Ba (0.1587, 0.8413, 0.9402)
Ba (0.3413, 0.6587, 0.4402)
Ba (0.6587, 0.3413, 0.5598)
Ba (0.8413, 0.1587, 0.0598)
Cr (0.0511, 0.9489, 0.3647)
Cr (0.4489, 0.5511, 0.8647)
Cr (0.5511, 0.4489, 0.1353)
Cr (0.9489, 0.0511, 0.6353)
N (0.1065, 0.8935, 0.5894)
N (0.1575, 0.3425, 0.7500)
N (0.3425, 0.1575, 0.2500)
N (0.3935, 0.6065, 0.0894)
N (0.6065, 0.3935, 0.9106)
N (0.6575, 0.8425, 0.7500)
N (0.8425, 0.6575, 0.2500)
N (0.8935, 0.1065, 0.4106)

Main lines, in order of rising 2θ (10° ≤ 2θ ≤ 90°):
| 2θ (°) | Rel. int. |
| --- | --- |
| 22.71 | 17.4 |
| 28.46 | 44.0 |
| 30.04 | 100.0 |
| 30.38 | 45.1 |
| 37.84 | 19.0 |
| 53.77 | 19.1 |

***

# 2
For BaCr2N, a crystal structure in Alexandria, relaxed with PBE gives the theoretical powder X-ray diffraction pattern in this record (Cu Ka).
Intensities are scaled so that the largest is 100.

Cell and atoms:
Unit cell a=6.1701 b=6.1701 c=6.1701 alpha=60.00 beta=60.00 gamma=60.00
Fractional coordinates of all 8 atoms:
Ba (0.1250, 0.1250, 0.1250)
Ba (0.8750, 0.8750, 0.8750)
Cr (0.0000, 0.5000, 0.5000)
Cr (0.5000, 0.0000, 0.5000)
Cr (0.5000, 0.5000, 0.0000)
Cr (0.5000, 0.5000, 0.5000)
N (0.3750, 0.3750, 0.3750)
N (0.6250, 0.6250, 0.6250)

Main lines, in order of rising 2θ (10° ≤ 2θ ≤ 90°):
| 2θ (°) | Rel. int. |
| --- | --- |
| 28.94 | 87.0 |
| 34.08 | 100.0 |
| 51.29 | 33.3 |
| 54.66 | 33.3 |
| 59.97 | 29.9 |
| 85.47 | 20.9 |

***

# 3
For Ba2PuCrN5, a crystal structure in Alexandria, relaxed with PBE gives the theoretical powder X-ray diffraction pattern in this record (Cu Ka).
Intensities are scaled so that the largest is 100.

Cell and atoms:
Unit cell a=7.8601 b=7.8601 c=11.4784 alpha=90.00 beta=90.00 gamma=153.85
Fractional coordinates of all 18 atoms:
Ba (0.1142, 0.8858, 0.5000)
Ba (0.1390, 0.8610, 0.1522)
Ba (0.8610, 0.1390, 0.6522)
Ba (0.8858, 0.1142, 0.0000)
Pu (0.1956, 0.8044, 0.8526)
Pu (0.8044, 0.1956, 0.3526)
Cr (0.4483, 0.5517, 0.2572)
Cr (0.5517, 0.4483, 0.7572)
N (0.0482, 0.9518, 0.8247)
N (0.2965, 0.7035, 0.4648)
N (0.3233, 0.6767, 0.8327)
N (0.3316, 0.6684, 0.2272)
N (0.4985, 0.5015, 0.1310)
N (0.5015, 0.4985, 0.6310)
N (0.6684, 0.3316, 0.7272)
N (0.6767, 0.3233, 0.3327)
N (0.7035, 0.2965, 0.9648)
N (0.9518, 0.0482, 0.3247)

Main lines, in order of rising 2θ (10° ≤ 2θ ≤ 90°):
| 2θ (°) | Rel. int. |
| --- | --- |
| 11.56 | 37.1 |
| 26.03 | 87.2 |
| 30.64 | 57.6 |
| 31.64 | 37.9 |
| 34.94 | 100.0 |
| 36.05 | 36.2 |

***

# 4
For BaCrTeN2, a crystal structure in Alexandria, relaxed with PBE gives the theoretical powder X-ray diffraction pattern in this record (Cu Ka).
Intensities are scaled so that the largest is 100.

Cell and atoms:
Unit cell a=4.3295 b=4.3295 c=5.4953 alpha=90.00 beta=90.00 gamma=90.00
Fractional coordinates of all 5 atoms:
Ba (0.0000, 0.0000, 0.0000)
Cr (0.5000, 0.5000, 0.5000)
Te (0.5000, 0.5000, 0.0000)
N (0.0000, 0.5000, 0.5000)
N (0.5000, 0.0000, 0.5000)

Main lines, in order of rising 2θ (10° ≤ 2θ ≤ 90°):
| 2θ (°) | Rel. int. |
| --- | --- |
| 16.13 | 74.0 |
| 29.17 | 100.0 |
| 32.59 | 53.8 |
| 33.51 | 91.6 |
| 41.72 | 52.8 |
| 44.30 | 64.1 |